For ErZrHg, a GGA-PBE-relaxed structure gives the computed X-ray powder pattern in this record (Cu Kα (λ = 1.5418 Å)).

Top 8 peaks for 5 to 70 degrees two-theta, sorted by position:
2θ/deg	I/Imax
10.59	23.8
32.12	24.8
34.81	30.7
35.59	100.0
36.67	24.0
48.10	13.2
62.91	19.2
68.12	13.6

Structural model:
```
data_ErZrHg
_chemical_formula_sum 'Er4 Zr4 Hg4'
_cell_length_a 3.385
_cell_length_b 16.714
_cell_length_c 5.155
_cell_angle_alpha 90.00
_cell_angle_beta 90.00
_cell_angle_gamma 90.00
_symmetry_space_group_name_H-M 'C m c m'
_symmetry_Int_Tables_number 63
_symmetry_space_group_name_Hall '-C 2c 2'
loop_
_atom_site_label
_atom_site_type_symbol
_atom_site_fract_x
_atom_site_fract_y
_atom_site_fract_z
Er1 Er 0.000 0.099 0.250
Zr1 Zr 0.000 0.226 0.750
Hg1 Hg 0.000 0.438 0.250
```



For BC5, a GGA-PBE-relaxed structure gives the computed X-ray powder pattern in this record (Cu Kα (λ = 1.5418 Å)).

Top 6 peaks for 5 to 70 degrees two-theta, sorted by position:
2θ/deg	I/Imax
6.90	4.1
13.82	6.1
20.79	1.9
42.32	30.3
43.34	100.0
46.28	0.7

Structural model:
```
data_BC5
_chemical_formula_sum 'B2 C10'
_cell_length_a 2.5501
_cell_length_b 2.5501
_cell_length_c 12.8148
_cell_angle_alpha 90.00
_cell_angle_beta 90.00
_cell_angle_gamma 120.00
_symmetry_space_group_name_H-M 'P -3 m 1'
_symmetry_Int_Tables_number 164
_symmetry_space_group_name_Hall '-P 3 2"'
loop_
_atom_site_label
_atom_site_type_symbol
_atom_site_fract_x
_atom_site_fract_y
_atom_site_fract_z
B1 B 0.0000 0.0000 0.1927
C1 C 0.0000 0.0000 0.3188
C2 C 0.3333 0.6667 0.3582
C3 C 0.3333 0.6667 0.4804
C4 C 0.3333 0.6667 0.8616
C5 C 0.3333 0.6667 0.9784
```



For Cs3Ba3TcO8, a GGA-PBE-relaxed structure gives the computed X-ray powder pattern in this record (Cu Kα (λ = 1.5418 Å)).

Top 8 peaks for 5 to 70 degrees two-theta, sorted by position:
2θ/deg	I/Imax
13.96	16.5
25.76	41.1
28.13	91.7
31.92	100.0
44.26	34.2
47.25	30.5
51.91	20.9
54.59	33.4

Structural model:
```
data_Cs3Ba3TcO8
_chemical_formula_sum 'Cs9 Ba9 Tc3 O24'
_cell_length_a 7.6950
_cell_length_b 7.6950
_cell_length_c 20.7485
_cell_angle_alpha 90.00
_cell_angle_beta 90.00
_cell_angle_gamma 120.00
_symmetry_space_group_name_H-M 'R -3 m'
_symmetry_Int_Tables_number 166
_symmetry_space_group_name_Hall '-R 3 2"'
loop_
_atom_site_label
_atom_site_type_symbol
_atom_site_fract_x
_atom_site_fract_y
_atom_site_fract_z
Cs1 Cs 0.0000 0.5000 0.0000
Ba1 Ba 0.0000 0.5000 0.5000
Tc1 Tc 0.0000 0.0000 0.5000
O1 O 0.0000 0.0000 0.2306
O2 O 0.0933 0.5467 0.2194
```



For KHRuCl6, a GGA-PBE-relaxed structure gives the computed X-ray powder pattern in this record (Cu Kα (λ = 1.5418 Å)).

Top 8 peaks for 5 to 70 degrees two-theta, sorted by position:
2θ/deg	I/Imax
14.11	89.7
15.23	45.4
15.34	64.5
16.63	100.0
17.11	82.0
32.57	66.5
34.62	71.3
38.51	52.5

Structural model:
```
data_KHRuCl6
_chemical_formula_sum 'K1 H1 Ru1 Cl6'
_cell_length_a 6.148
_cell_length_b 6.207
_cell_length_c 7.075
_cell_angle_alpha 110.35
_cell_angle_beta 107.59
_cell_angle_gamma 90.17
_symmetry_space_group_name_H-M 'P -1'
_symmetry_Int_Tables_number 2
loop_
_symmetry_equiv_pos_as_xyz
'x,y,z'
'-x,-y,-z'
loop_
_atom_site_label
_atom_site_type_symbol
_atom_site_fract_x
_atom_site_fract_y
_atom_site_fract_z
K1 K 0.000 0.000 0.000
H1 H 0.000 0.500 0.500
Ru1 Ru 0.500 0.500 0.500
Cl1 Cl 0.175 0.324 0.535
Cl2 Cl 0.260 0.547 0.195
Cl3 Cl 0.442 0.863 0.713
```



For UTeO5, a GGA-PBE-relaxed structure gives the computed X-ray powder pattern in this record (Cu Kα (λ = 1.5418 Å)).

Top 8 peaks for 5 to 70 degrees two-theta, sorted by position:
2θ/deg	I/Imax
16.01	32.9
18.15	27.7
23.45	100.0
27.88	54.1
28.49	76.5
44.87	36.5
52.53	23.7
58.04	26.5

Structural model:
```
data_UTeO5
_chemical_formula_sum 'U4 Te4 O20'
_cell_length_a 5.535
_cell_length_b 10.417
_cell_length_c 7.844
_cell_angle_alpha 90.00
_cell_angle_beta 90.00
_cell_angle_gamma 90.00
_symmetry_space_group_name_H-M 'P b c m'
_symmetry_Int_Tables_number 57
loop_
_symmetry_equiv_pos_as_xyz
'x,y,z'
'-x,-y,-z'
'-x,-y,z+1/2'
'x,y,-z+1/2'
'x,-y+1/2,-z'
'-x,y+1/2,z'
'-x,y+1/2,-z+1/2'
'x,-y+1/2,z+1/2'
loop_
_atom_site_label
_atom_site_type_symbol
_atom_site_fract_x
_atom_site_fract_y
_atom_site_fract_z
U1 U 0.032 0.016 0.250
Te1 Te 0.359 0.250 0.000
O1 O 0.144 0.105 0.527
O2 O 0.237 0.614 0.250
O3 O 0.267 0.208 0.250
O4 O 0.303 0.585 0.750
```



For LiMg2Sc, a GGA-PBE-relaxed structure gives the computed X-ray powder pattern in this record (Cu Kα (λ = 1.5418 Å)).

Top 8 peaks for 5 to 70 degrees two-theta, sorted by position:
2θ/deg	I/Imax
21.95	19.9
25.39	20.5
36.22	100.0
42.75	9.1
44.75	5.2
52.15	16.4
58.87	6.3
65.14	32.0

Structural model:
```
data_LiMg2Sc
_chemical_formula_sum 'Li4 Mg8 Sc4'
_cell_length_a 7.015
_cell_length_b 7.015
_cell_length_c 7.015
_cell_angle_alpha 90.00
_cell_angle_beta 90.00
_cell_angle_gamma 90.00
_symmetry_space_group_name_H-M 'F -4 3 m'
_symmetry_Int_Tables_number 216
_symmetry_space_group_name_Hall 'F -4 2 3'
loop_
_atom_site_label
_atom_site_type_symbol
_atom_site_fract_x
_atom_site_fract_y
_atom_site_fract_z
Li1 Li 0.000 0.000 0.000
Mg1 Mg 0.000 0.000 0.500
Mg2 Mg 0.250 0.250 0.750
Sc1 Sc 0.250 0.250 0.250
```



For W2Se, a GGA-PBE-relaxed structure gives the computed X-ray powder pattern in this record (Cu Kα (λ = 1.5418 Å)).

Top 8 peaks for 5 to 70 degrees two-theta, sorted by position:
2θ/deg	I/Imax
10.06	100.0
30.49	6.4
37.82	50.0
41.04	13.4
42.48	15.0
43.24	42.9
55.91	6.7
60.55	8.6

Structural model:
```
data_W2Se
_chemical_formula_sum 'W8 Se4'
_cell_length_a 3.289
_cell_length_b 17.592
_cell_length_c 4.256
_cell_angle_alpha 90.00
_cell_angle_beta 90.00
_cell_angle_gamma 90.00
_symmetry_space_group_name_H-M 'C m c m'
_symmetry_Int_Tables_number 63
_symmetry_space_group_name_Hall '-C 2c 2'
loop_
_atom_site_label
_atom_site_type_symbol
_atom_site_fract_x
_atom_site_fract_y
_atom_site_fract_z
W1 W 0.000 0.058 0.250
W2 W 0.000 0.430 0.250
Se1 Se 0.000 0.329 0.750
```



For ScBeBr, a GGA-PBE-relaxed structure gives the computed X-ray powder pattern in this record (Cu Kα (λ = 1.5418 Å)).

Top 8 peaks for 5 to 70 degrees two-theta, sorted by position:
2θ/deg	I/Imax
14.96	96.4
27.59	43.6
35.06	100.0
37.86	47.1
40.92	30.1
46.92	36.3
54.62	15.4
66.57	28.3

Structural model:
```
data_ScBeBr
_chemical_formula_sum 'Sc2 Be2 Br2'
_cell_length_a 3.361
_cell_length_b 3.361
_cell_length_c 11.846
_cell_angle_alpha 90.00
_cell_angle_beta 90.00
_cell_angle_gamma 90.00
_symmetry_space_group_name_H-M 'I 4 m m'
_symmetry_Int_Tables_number 107
_symmetry_space_group_name_Hall 'I 4 -2'
loop_
_atom_site_label
_atom_site_type_symbol
_atom_site_fract_x
_atom_site_fract_y
_atom_site_fract_z
Sc1 Sc 0.000 0.000 0.000
Be1 Be 0.000 0.000 0.386
Br1 Br 0.000 0.000 0.634
```



For AcTmPa2O8, a GGA-PBE-relaxed structure gives the computed X-ray powder pattern in this record (Cu Kα (λ = 1.5418 Å)).

Top 8 peaks for 5 to 70 degrees two-theta, sorted by position:
2θ/deg	I/Imax
28.10	100.0
32.41	24.5
32.86	11.8
46.49	16.9
46.82	33.1
55.20	31.7
55.79	15.4
58.09	10.5

Structural model:
```
data_AcTmPa2O8
_chemical_formula_sum 'Ac2 Tm2 Pa4 O16'
_cell_length_a 5.525
_cell_length_b 5.525
_cell_length_c 10.903
_cell_angle_alpha 90.00
_cell_angle_beta 90.00
_cell_angle_gamma 90.00
_symmetry_space_group_name_H-M 'I -4 m 2'
_symmetry_Int_Tables_number 119
_symmetry_space_group_name_Hall 'I -4 -2'
loop_
_atom_site_label
_atom_site_type_symbol
_atom_site_fract_x
_atom_site_fract_y
_atom_site_fract_z
Ac1 Ac 0.000 0.000 0.000
Tm1 Tm 0.000 0.500 0.750
Pa1 Pa 0.000 0.000 0.500
Pa2 Pa 0.000 0.500 0.250
O1 O 0.230 0.241 0.370
```



For La2NdY6, a GGA-PBE-relaxed structure gives the computed X-ray powder pattern in this record (Cu Kα (λ = 1.5418 Å)).

Top 8 peaks for 5 to 70 degrees two-theta, sorted by position:
2θ/deg	I/Imax
17.76	8.2
31.02	98.8
31.18	100.0
44.56	36.9
55.17	18.8
55.28	38.8
61.99	26.3
64.65	11.5

Structural model:
```
data_La2NdY6
_chemical_formula_sum 'La8 Nd4 Y24'
_cell_length_a 9.988
_cell_length_b 17.302
_cell_length_c 7.007
_cell_angle_alpha 90.00
_cell_angle_beta 90.00
_cell_angle_gamma 90.00
_symmetry_space_group_name_H-M 'I b a m'
_symmetry_Int_Tables_number 72
_symmetry_space_group_name_Hall '-I 2 2c'
loop_
_atom_site_label
_atom_site_type_symbol
_atom_site_fract_x
_atom_site_fract_y
_atom_site_fract_z
La1 La 0.000 0.167 0.250
Nd1 Nd 0.000 0.500 0.250
Y1 Y 0.166 0.333 0.000
Y2 Y 0.166 0.334 0.500
Y3 Y 0.168 0.000 0.000
```



For LaSn12Ir6, a GGA-PBE-relaxed structure gives the computed X-ray powder pattern in this record (Cu Kα (λ = 1.5418 Å)).

Top 8 peaks for 5 to 70 degrees two-theta, sorted by position:
2θ/deg	I/Imax
23.40	43.1
30.69	67.9
33.03	48.9
36.67	100.0
38.69	75.2
40.72	42.7
43.49	64.1
45.57	65.5

Structural model:
```
data_LaSn12Ir6
_chemical_formula_sum 'La3 Sn36 Ir18'
_cell_length_a 12.8230
_cell_length_b 12.8230
_cell_length_c 8.9777
_cell_angle_alpha 90.00
_cell_angle_beta 90.00
_cell_angle_gamma 120.00
_symmetry_space_group_name_H-M 'R -3 m'
_symmetry_Int_Tables_number 166
_symmetry_space_group_name_Hall '-R 3 2"'
loop_
_atom_site_label
_atom_site_type_symbol
_atom_site_fract_x
_atom_site_fract_y
_atom_site_fract_z
La1 La 0.0000 0.0000 0.0000
Sn1 Sn 0.0000 0.3787 0.5000
Sn2 Sn 0.0851 0.1702 0.3124
Ir1 Ir 0.0509 0.5254 0.2480
```



For BeS5Br, a GGA-PBE-relaxed structure gives the computed X-ray powder pattern in this record (Cu Kα (λ = 1.5418 Å)).

Top 8 peaks for 5 to 70 degrees two-theta, sorted by position:
2θ/deg	I/Imax
15.12	74.2
22.77	26.2
23.20	100.0
27.54	51.7
27.70	30.4
35.62	29.5
36.98	29.7
47.42	20.6

Structural model:
```
data_BeS5Br
_chemical_formula_sum 'Be2 S10 Br2'
_cell_length_a 4.651
_cell_length_b 23.431
_cell_length_c 4.109
_cell_angle_alpha 90.00
_cell_angle_beta 108.87
_cell_angle_gamma 90.00
_symmetry_space_group_name_H-M 'C 1 2 1'
_symmetry_Int_Tables_number 5
loop_
_symmetry_equiv_pos_as_xyz
'x,y,z'
'-x,y,-z'
'x+1/2,y+1/2,z'
'-x+1/2,y+1/2,-z'
loop_
_atom_site_label
_atom_site_type_symbol
_atom_site_fract_x
_atom_site_fract_y
_atom_site_fract_z
Be1 Be 0.000 0.000 0.000
S1 S 0.000 0.298 0.000
S2 S 0.138 0.561 0.855
S3 S 0.171 0.241 0.731
Br1 Br 0.000 0.952 0.500
```